# 1
Starting from a PBE-relaxed structure, the powder X-ray diffraction pattern of Tm6CdHg2 was simulated for Cu Kα (weighted mean of Kα1 and Kα2).

Largest 8 diffraction maxima, by angle, 2θ from 15° to 90°:
- 21.59°, intensity 32
- 24.98°, intensity 16
- 35.61°, intensity 100
- 35.67°, intensity 20
- 42.03°, intensity 18
- 51.26°, intensity 21
- 63.92°, intensity 22
- 64.04°, intensity 22

Crystal structure
Lattice parameters (Å, degrees): 8.7400 8.7400 8.7400 146.53 131.86 59.90
Fractional positions:
Tm  0.0816  0.3326  0.7489
Tm  0.2468  0.0000  0.2468
Tm  0.4163  0.6674  0.7489
Tm  0.5837  0.3326  0.2511
Tm  0.7532  0.0000  0.7532
Tm  0.9184  0.6674  0.2511
Cd  0.5000  0.5000  0.0000
Hg  0.1672  0.1672  0.0000
Hg  0.8328  0.8328  0.0000

***

# 2
Starting from a PBE-relaxed structure, the powder X-ray diffraction pattern of TmCd2Hg6 was simulated for Cu Kα (weighted mean of Kα1 and Kα2).

Largest 8 diffraction maxima, by angle, 2θ from 15° to 90°:
- 31.69°, intensity 21
- 32.63°, intensity 100
- 34.83°, intensity 34
- 36.07°, intensity 76
- 40.80°, intensity 15
- 49.42°, intensity 21
- 59.91°, intensity 25
- 64.37°, intensity 28

Crystal structure
Lattice parameters (Å, degrees): 3.5572 8.6277 8.6277 120.03 90.00 90.00
Fractional positions:
Tm  0.0000  0.0000  0.0000
Cd  0.5000  0.3324  0.6665
Cd  0.5000  0.6665  0.3324
Hg  0.0000  0.9996  0.3732
Hg  0.0000  0.3732  0.9996
Hg  0.0000  0.6256  0.6256
Hg  0.5000  0.2923  0.2923
Hg  0.5000  0.7074  0.9990
Hg  0.5000  0.9990  0.7074

***

# 3
Starting from a PBE-relaxed structure, the powder X-ray diffraction pattern of Tm2CdHg8 was simulated for Cu Kα (weighted mean of Kα1 and Kα2).

Largest 8 diffraction maxima, by angle, 2θ from 15° to 90°:
- 30.87°, intensity 9
- 34.60°, intensity 100
- 39.37°, intensity 37
- 41.75°, intensity 11
- 56.89°, intensity 12
- 58.72°, intensity 17
- 68.33°, intensity 30
- 73.01°, intensity 9

Crystal structure
Lattice parameters (Å, degrees): 4.5775 4.5775 12.9814 90.00 90.00 90.00
Fractional positions:
Tm  0.0000  0.0000  0.1825
Tm  0.0000  0.0000  0.8175
Cd  0.0000  0.0000  0.5000
Hg  0.0000  0.5000  0.0000
Hg  0.0000  0.5000  0.3533
Hg  0.0000  0.5000  0.6467
Hg  0.5000  0.0000  0.0000
Hg  0.5000  0.0000  0.3533
Hg  0.5000  0.0000  0.6467
Hg  0.5000  0.5000  0.1751
Hg  0.5000  0.5000  0.8249

***

# 4
Starting from a PBE-relaxed structure, the powder X-ray diffraction pattern of TmCdHg was simulated for Cu Kα (weighted mean of Kα1 and Kα2).

Largest 8 diffraction maxima, by angle, 2θ from 15° to 90°:
- 33.76°, intensity 100
- 36.50°, intensity 89
- 50.56°, intensity 32
- 54.06°, intensity 10
- 63.95°, intensity 32
- 65.69°, intensity 16
- 66.99°, intensity 30
- 87.28°, intensity 10

Crystal structure
Lattice parameters (Å, degrees): 4.9279 6.7859 8.5210 90.00 90.00 90.00
Fractional positions:
Tm  0.0000  0.2481  0.0000
Tm  0.0000  0.7519  0.0000
Tm  0.5000  0.2519  0.5000
Tm  0.5000  0.7481  0.5000
Cd  0.0000  0.0000  0.3353
Cd  0.0000  0.0000  0.6647
Cd  0.5000  0.5000  0.1647
Cd  0.5000  0.5000  0.8353
Hg  0.0000  0.5000  0.3303
Hg  0.0000  0.5000  0.6697
Hg  0.5000  0.0000  0.1697
Hg  0.5000  0.0000  0.8303

***

# 5
Starting from a PBE-relaxed structure, the powder X-ray diffraction pattern of Tm7Cd2Hg2 was simulated for Cu Kα (weighted mean of Kα1 and Kα2).

Largest 8 diffraction maxima, by angle, 2θ from 15° to 90°:
- 25.92°, intensity 54
- 27.32°, intensity 34
- 28.26°, intensity 31
- 32.44°, intensity 56
- 33.06°, intensity 21
- 35.87°, intensity 64
- 36.96°, intensity 100
- 44.65°, intensity 19

Crystal structure
Lattice parameters (Å, degrees): 6.7303 6.7303 7.6245 90.00 90.00 110.19
Fractional positions:
Tm  0.0000  0.0000  0.0000
Tm  0.0000  0.5000  0.2841
Tm  0.0000  0.5000  0.7159
Tm  0.5000  0.0000  0.2841
Tm  0.5000  0.0000  0.7159
Tm  0.5000  0.5000  0.2619
Tm  0.5000  0.5000  0.7381
Cd  0.1777  0.1777  0.5000
Cd  0.8223  0.8223  0.5000
Hg  0.2941  0.7059  0.0000
Hg  0.7059  0.2941  0.0000

***

# 6
Starting from a PBE-relaxed structure, the powder X-ray diffraction pattern of Tm4Cd5Hg was simulated for Cu Kα (weighted mean of Kα1 and Kα2).

Largest 8 diffraction maxima, by angle, 2θ from 15° to 90°:
- 34.28°, intensity 51
- 34.48°, intensity 100
- 34.93°, intensity 96
- 35.31°, intensity 48
- 50.03°, intensity 35
- 61.22°, intensity 27
- 62.46°, intensity 25
- 62.85°, intensity 17

Crystal structure
Lattice parameters (Å, degrees): 8.1448 8.1448 6.4437 105.13 105.13 36.37
Fractional positions:
Tm  0.0961  0.0961  0.3915
Tm  0.3084  0.3084  0.1948
Tm  0.6916  0.6916  0.8052
Tm  0.9039  0.9039  0.6085
Cd  0.1010  0.1010  0.9153
Cd  0.2981  0.2981  0.6948
Cd  0.5000  0.5000  0.0000
Cd  0.7019  0.7019  0.3052
Cd  0.8990  0.8990  0.0847
Hg  0.5000  0.5000  0.5000

***

# 7
Starting from a PBE-relaxed structure, the powder X-ray diffraction pattern of VCdHg was simulated for Cu Kα (weighted mean of Kα1 and Kα2).

Largest 8 diffraction maxima, by angle, 2θ from 15° to 90°:
- 24.59°, intensity 25
- 30.96°, intensity 38
- 35.45°, intensity 100
- 35.64°, intensity 47
- 37.42°, intensity 61
- 38.71°, intensity 44
- 43.04°, intensity 20
- 50.37°, intensity 20

Crystal structure
Lattice parameters (Å, degrees): 9.0755 4.6521 6.0433 90.00 111.91 90.00
Fractional positions:
V  0.0000  0.0000  0.0000
V  0.2229  0.0000  0.1922
V  0.5000  0.5000  0.0000
V  0.7229  0.5000  0.1922
Cd  0.0761  0.5000  0.3292
Cd  0.4310  0.5000  0.4631
Cd  0.5761  0.0000  0.3292
Cd  0.9310  0.0000  0.4631
Hg  0.1587  0.5000  0.8909
Hg  0.3006  0.0000  0.7157
Hg  0.6587  0.0000  0.8909
Hg  0.8006  0.5000  0.7157

***

# 8
Starting from a PBE-relaxed structure, the powder X-ray diffraction pattern of Cd4HgW was simulated for Cu Kα (weighted mean of Kα1 and Kα2).

Largest 8 diffraction maxima, by angle, 2θ from 15° to 90°:
- 31.44°, intensity 45
- 37.05°, intensity 100
- 38.76°, intensity 25
- 55.98°, intensity 18
- 59.70°, intensity 33
- 65.63°, intensity 26
- 77.83°, intensity 11
- 78.90°, intensity 9

Crystal structure
Lattice parameters (Å, degrees): 5.6906 5.6906 5.6906 60.00 60.00 60.00
Fractional positions:
Cd  0.1254  0.1254  0.1254
Cd  0.1254  0.1254  0.6239
Cd  0.1254  0.6239  0.1254
Cd  0.6239  0.1254  0.1254
Hg  0.7500  0.7500  0.7500
W  0.5000  0.5000  0.5000

***

# 9
Starting from a PBE-relaxed structure, the powder X-ray diffraction pattern of Y4CdHg was simulated for Cu Kα (weighted mean of Kα1 and Kα2).

Largest 8 diffraction maxima, by angle, 2θ from 15° to 90°:
- 32.15°, intensity 100
- 35.08°, intensity 41
- 41.42°, intensity 11
- 50.46°, intensity 14
- 55.38°, intensity 19
- 61.10°, intensity 31
- 67.26°, intensity 10
- 69.74°, intensity 8

Crystal structure
Lattice parameters (Å, degrees): 3.6174 3.6174 13.0790 90.00 90.00 90.00
Fractional positions:
Y  0.0000  0.0000  0.1524
Y  0.0000  0.0000  0.8476
Y  0.5000  0.5000  0.3441
Y  0.5000  0.5000  0.6559
Cd  0.0000  0.0000  0.5000
Hg  0.5000  0.5000  0.0000

***

# 10
Starting from a PBE-relaxed structure, the powder X-ray diffraction pattern of Y4Cd2Hg3 was simulated for Cu Kα (weighted mean of Kα1 and Kα2).

Largest 8 diffraction maxima, by angle, 2θ from 15° to 90°:
- 33.52°, intensity 100
- 33.85°, intensity 95
- 34.90°, intensity 48
- 35.15°, intensity 45
- 46.33°, intensity 17
- 50.38°, intensity 32
- 61.71°, intensity 17
- 61.87°, intensity 33

Crystal structure
Lattice parameters (Å, degrees): 5.3124 5.3124 9.7192 94.11 94.11 57.89
Fractional positions:
Y  0.0203  0.0203  0.3264
Y  0.3419  0.3419  0.1027
Y  0.6581  0.6581  0.8973
Y  0.9797  0.9797  0.6736
Cd  0.3149  0.3149  0.7701
Cd  0.6851  0.6851  0.2299
Hg  0.0000  0.0000  0.0000
Hg  0.3454  0.3454  0.4325
Hg  0.6546  0.6546  0.5675

***

# 11
Starting from a PBE-relaxed structure, the powder X-ray diffraction pattern of YCd2Hg5 was simulated for Cu Kα (weighted mean of Kα1 and Kα2).

Largest 8 diffraction maxima, by angle, 2θ from 15° to 90°:
- 33.87°, intensity 100
- 37.95°, intensity 19
- 38.61°, intensity 18
- 41.31°, intensity 14
- 55.25°, intensity 12
- 65.96°, intensity 14
- 66.86°, intensity 14
- 71.27°, intensity 11

Crystal structure
Lattice parameters (Å, degrees): 6.4491 6.4491 9.3268 90.00 90.00 94.66
Fractional positions:
Y  0.2332  0.7668  0.0000
Y  0.7668  0.2332  0.0000
Cd  0.2425  0.7575  0.5000
Cd  0.5000  0.5000  0.2601
Cd  0.5000  0.5000  0.7399
Cd  0.7575  0.2425  0.5000
Hg  0.0000  0.0000  0.2464
Hg  0.0000  0.0000  0.7536
Hg  0.0000  0.5000  0.2505
Hg  0.0000  0.5000  0.7495
Hg  0.2556  0.2556  0.5000
Hg  0.2741  0.2741  0.0000
Hg  0.5000  0.0000  0.2505
Hg  0.5000  0.0000  0.7495
Hg  0.7259  0.7259  0.0000
Hg  0.7444  0.7444  0.5000

***

# 12
Starting from a PBE-relaxed structure, the powder X-ray diffraction pattern of YCd14Hg was simulated for Cu Kα (weighted mean of Kα1 and Kα2).

Largest 8 diffraction maxima, by angle, 2θ from 15° to 90°:
- 34.31°, intensity 100
- 38.72°, intensity 36
- 41.96°, intensity 14
- 55.91°, intensity 12
- 58.41°, intensity 20
- 67.26°, intensity 27
- 71.74°, intensity 11
- 72.29°, intensity 11

Crystal structure
Lattice parameters (Å, degrees): 6.5783 6.5783 8.6132 90.00 90.00 90.00
Fractional positions:
Y  0.0000  0.0000  0.0000
Cd  0.0000  0.0000  0.5000
Cd  0.0000  0.5000  0.0000
Cd  0.0000  0.5000  0.5000
Cd  0.2527  0.2527  0.2551
Cd  0.2527  0.2527  0.7449
Cd  0.2527  0.7473  0.2551
Cd  0.2527  0.7473  0.7449
Cd  0.5000  0.0000  0.0000
Cd  0.5000  0.0000  0.5000
Cd  0.5000  0.5000  0.5000
Cd  0.7473  0.2527  0.2551
Cd  0.7473  0.2527  0.7449
Cd  0.7473  0.7473  0.2551
Cd  0.7473  0.7473  0.7449
Hg  0.5000  0.5000  0.0000

***

# 13
Starting from a PBE-relaxed structure, the powder X-ray diffraction pattern of YCd6Hg12 was simulated for Cu Kα (weighted mean of Kα1 and Kα2).

Largest 8 diffraction maxima, by angle, 2θ from 15° to 90°:
- 24.82°, intensity 22
- 27.10°, intensity 16
- 33.44°, intensity 88
- 34.19°, intensity 45
- 35.61°, intensity 100
- 36.63°, intensity 47
- 39.06°, intensity 15
- 62.53°, intensity 23

Crystal structure
Lattice parameters (Å, degrees): 7.8839 7.8839 7.8839 92.60 92.60 92.60
Fractional positions:
Y  0.0000  0.0000  0.0000
Cd  0.1319  0.7301  0.2781
Cd  0.2699  0.7219  0.8681
Cd  0.2781  0.1319  0.7301
Cd  0.7219  0.8681  0.2699
Cd  0.7301  0.2781  0.1319
Cd  0.8681  0.2699  0.7219
Hg  0.0358  0.1461  0.3729
Hg  0.1461  0.3729  0.0358
Hg  0.2005  0.4668  0.5463
Hg  0.3729  0.0358  0.1461
Hg  0.4537  0.7995  0.5332
Hg  0.4668  0.5463  0.2005
Hg  0.5332  0.4537  0.7995
Hg  0.5463  0.2005  0.4668
Hg  0.6271  0.9642  0.8539
Hg  0.7995  0.5332  0.4537
Hg  0.8539  0.6271  0.9642
Hg  0.9642  0.8539  0.6271